Computed PXRD pattern
Compound: P3AuF12
Radiation: Cu Kα (λ = 1.5418 Å)
Structure: a structure optimized by DFT (GGA-PBE)

Lattice parameters (Å, degrees): 7.8767 8.7863 10.3901 65.80 67.75 63.43
Element x y z (fractional)
P 0.0000 0.0000 0.0000
P 0.0256 0.8825 0.5970
P 0.2928 0.3800 0.0974
P 0.4857 0.7339 0.0192
P 0.5560 0.2357 0.5208
P 0.7956 0.5027 0.4983
Au 0.2010 0.6916 0.0444
Au 0.8586 0.1937 0.5441
F 0.0426 0.4870 0.0941
F 0.0603 0.7567 0.7520
F 0.1724 0.0830 0.8933
F 0.1718 0.9916 0.5920
F 0.1980 0.7927 0.4832
F 0.2312 0.2542 0.2531
F 0.3233 0.2893 0.9844
F 0.3783 0.7833 0.1714
F 0.3937 0.4018 0.4518
F 0.4631 0.2857 0.6727
F 0.4927 0.0698 0.5858
F 0.5207 0.2940 0.0997
F 0.5506 0.9004 0.9497
F 0.5632 0.6960 0.8636
F 0.6351 0.6182 0.6002
F 0.6509 0.5683 0.0829
F 0.6532 0.5832 0.3873
F 0.6704 0.1971 0.3653
F 0.8259 0.9109 0.1039
F 0.8775 0.1092 0.8801
F 0.8816 0.7949 0.6010
F 0.9323 0.6096 0.3800
F 0.9389 0.1118 0.1058
F 0.9482 0.4162 0.6067

Top 10 peaks for 5° ≤ 2θ ≤ 70°, by intensity:
2θ/deg, intensity
12.88, 100
14.17, 87
17.92, 71
19.29, 70
24.59, 33
28.02, 27
33.54, 26
34.79, 24
31.21, 17
39.54, 17


Computed PXRD pattern
Compound: Tc3Ni4
Radiation: Cu Kα (λ = 1.5418 Å)
Structure: a structure optimized by DFT (GGA-PBE)

Lattice parameters (Å, degrees): 6.9289 6.9289 4.1992 90.00 90.00 120.00
Element x y z (fractional)
Tc 0.0570 0.8100 0.2500
Tc 0.1900 0.2470 0.2500
Tc 0.2470 0.0570 0.7500
Tc 0.7530 0.9430 0.2500
Tc 0.8100 0.7530 0.7500
Tc 0.9430 0.1900 0.7500
Ni 0.0997 0.6112 0.7500
Ni 0.3333 0.6667 0.2500
Ni 0.3888 0.4885 0.7500
Ni 0.4885 0.0997 0.2500
Ni 0.5115 0.9003 0.7500
Ni 0.6112 0.5115 0.2500
Ni 0.6667 0.3333 0.7500
Ni 0.9003 0.3888 0.2500

Top 10 peaks for 5° ≤ 2θ ≤ 70°, by intensity:
2θ/deg, intensity
45.45, 100
43.08, 26
39.74, 25
60.05, 14
14.76, 6
36.82, 4
33.53, 3
55.19, 1
29.78, 1
68.11, 1


Computed PXRD pattern
Compound: Li2PrH6
Radiation: Cu Kα (λ = 1.5418 Å)
Structure: a structure optimized by DFT (GGA-PBE)

Lattice parameters (Å, degrees): 5.4858 5.4858 5.4858 60.00 60.00 60.00
Element x y z (fractional)
Li 0.2500 0.2500 0.2500
Li 0.7500 0.7500 0.7500
Pr 0.0000 0.0000 0.0000
H 0.2879 0.2879 0.7121
H 0.2879 0.7121 0.2879
H 0.2879 0.7121 0.7121
H 0.7121 0.2879 0.2879
H 0.7121 0.2879 0.7121
H 0.7121 0.7121 0.2879

Top 10 peaks for 5° ≤ 2θ ≤ 70°, by intensity:
2θ/deg, intensity
19.82, 100
38.49, 58
22.93, 50
32.65, 50
51.33, 26
52.77, 20
58.26, 19
62.17, 18
40.27, 13
46.84, 10


Computed PXRD pattern
Compound: Li2NbF5
Radiation: Cu Kα (λ = 1.5418 Å)
Structure: a structure optimized by DFT (GGA-PBE)

Lattice parameters (Å, degrees): 2.8735 11.5160 5.4275 90.00 90.00 90.00
Element x y z (fractional)
Li 0.2500 0.0861 0.1479
Li 0.2500 0.4139 0.1479
Li 0.7500 0.5861 0.8521
Li 0.7500 0.9139 0.8521
Nb 0.2500 0.7500 0.2826
Nb 0.7500 0.2500 0.7174
F 0.2500 0.1425 0.4739
F 0.2500 0.2500 0.0270
F 0.2500 0.3575 0.4739
F 0.2500 0.5832 0.1124
F 0.2500 0.9168 0.1124
F 0.7500 0.0832 0.8876
F 0.7500 0.4168 0.8876
F 0.7500 0.6425 0.5261
F 0.7500 0.7500 0.9730
F 0.7500 0.8575 0.5261

Top 10 peaks for 5° ≤ 2θ ≤ 70°, by intensity:
2θ/deg, intensity
18.07, 100
15.39, 81
35.34, 39
46.71, 30
42.67, 28
38.75, 21
28.48, 21
60.45, 18
52.12, 14
50.80, 11


What did the second record say?
Computed PXRD pattern
Compound: Tc3Ni4
Radiation: Cu Kα (λ = 1.5418 Å)
Structure: a structure optimized by DFT (GGA-PBE)

Lattice parameters (Å, degrees): 6.9289 6.9289 4.1992 90.00 90.00 120.00
Element x y z (fractional)
Tc 0.0570 0.8100 0.2500
Tc 0.1900 0.2470 0.2500
Tc 0.2470 0.0570 0.7500
Tc 0.7530 0.9430 0.2500
Tc 0.8100 0.7530 0.7500
Tc 0.9430 0.1900 0.7500
Ni 0.0997 0.6112 0.7500
Ni 0.3333 0.6667 0.2500
Ni 0.3888 0.4885 0.7500
Ni 0.4885 0.0997 0.2500
Ni 0.5115 0.9003 0.7500
Ni 0.6112 0.5115 0.2500
Ni 0.6667 0.3333 0.7500
Ni 0.9003 0.3888 0.2500

Top 10 peaks for 5° ≤ 2θ ≤ 70°, by intensity:
2θ/deg, intensity
45.45, 100
43.08, 26
39.74, 25
60.05, 14
14.76, 6
36.82, 4
33.53, 3
55.19, 1
29.78, 1
68.11, 1


Q: What is the formula in the fourth record?
A: Li2NbF5